The following is a theoretical PXRD pattern of Tl2VAgF6. It was derived from a DFT-relaxed cell (GGA+U, Alexandria), using copper Kα.

Most intense lines, 2θ = 10–90°, by intensity:
hkl	2θ (°)	intensity
1 2 1	28.5	1000
2 0 2	40.8	300
0 4 2	50.3	297
0 0 2	28.4	248
2 0 0	28.8	246
3 2 1	50.8	199
2 4 2	58.9	192
0 4 0	40.6	159

Crystal structure
```
20
Lattice="6.2074 0.0000 0.0000 0.0000 8.8935 0.0000 0.0000 0.0000 6.2920" Properties=species:S:1:pos:R:3 pbc="T T T"
Tl 1.5518 0.0106 1.4979
Tl 1.5518 4.4361 1.4979
Tl 4.6555 4.4574 4.7941
Tl 4.6555 8.8829 4.7941
V 1.5518 6.6701 4.7872
V 4.6555 2.2234 1.5047
Ag 1.5518 2.2234 4.6183
Ag 4.6555 6.6701 1.6736
F 0.1649 6.6701 3.4096
F 0.1667 6.6701 6.1803
F 1.5518 4.6407 4.8460
F 1.5518 8.6995 4.8460
F 2.9388 6.6701 3.4096
F 2.9370 6.6701 6.1803
F 3.2704 2.2234 0.1117
F 3.2686 2.2234 2.8824
F 4.6555 0.1940 1.4460
F 4.6555 4.2528 1.4460
F 6.0407 2.2234 0.1117
F 6.0425 2.2234 2.8824
```